# 1
Theoretical powder diffraction line list of Li4MnCo2O7 for Cu Kα, 1.54184 Å, from a GGA+U-relaxed structure.

Crystal structure
Cell: 15.458 2.932 12.852 Å, 90.00 118.24 90.00°
Space group C2/m (No. 12)
Asymmetric unit:
Li1 0.000 0.000 0.000 (multiplicity 2)
Li2 0.000 0.500 0.500 (multiplicity 2)
Li3 0.058 0.000 0.344 (multiplicity 4)
Li4 0.132 0.500 0.194 (multiplicity 4)
Li5 0.211 0.000 0.063 (multiplicity 4)
Mn1 0.214 0.500 0.573 (multiplicity 4)
Co1 0.066 0.500 0.870 (multiplicity 4)
Co2 0.141 0.000 0.725 (multiplicity 4)
O1 0.032 0.000 0.180 (multiplicity 4)
O2 0.041 0.500 0.675 (multiplicity 4)
O3 0.109 0.500 0.027 (multiplicity 4)
O4 0.122 0.000 0.539 (multiplicity 4)
O5 0.174 0.000 0.881 (multiplicity 4)
O6 0.193 0.500 0.406 (multiplicity 4)
O7 0.241 0.500 0.731 (multiplicity 4)

Main lines, in order of rising 2θ (2θ from 15° to 90°):
hkl, 2theta, intensity
2 0 1, 18.1, 100.0
3 1 -2, 35.8, 37.0
5 1 -1, 43.2, 80.7
1 1 4, 47.3, 8.6
7 1 0, 56.8, 9.4
3 1 5, 62.4, 14.5
7 1 -7, 63.2, 12.0
0 2 0, 63.5, 7.7

***

# 2
Theoretical powder diffraction line list of Li7Mn4CoO12 for Cu Kα, 1.54184 Å, from a GGA+U-relaxed structure.

Crystal structure
Cell: 8.473 2.900 9.802 Å, 90.00 115.32 90.00°
Space group P2/m (No. 10)
Asymmetric unit:
Li1 0.000 0.000 0.000 (multiplicity 1)
Li2 0.000 0.500 0.500 (multiplicity 1)
Li3 0.341 0.000 0.676 (multiplicity 2)
Li4 0.363 0.500 0.166 (multiplicity 2)
Li5 0.500 0.000 0.000 (multiplicity 1)
Mn1 0.167 0.000 0.331 (multiplicity 2)
Mn2 0.183 0.500 0.837 (multiplicity 2)
Co1 0.500 0.500 0.500 (multiplicity 1)
O1 0.071 0.500 0.178 (multiplicity 2)
O2 0.093 0.000 0.685 (multiplicity 2)
O3 0.233 0.500 0.479 (multiplicity 2)
O4 0.240 0.000 0.983 (multiplicity 2)
O5 0.396 0.500 0.831 (multiplicity 2)
O6 0.413 0.000 0.338 (multiplicity 2)

Main lines, in order of rising 2θ (2θ from 15° to 90°):
hkl, 2theta, intensity
1 0 -2, 18.3, 100.0
3 0 0, 35.2, 13.8
1 1 1, 36.1, 24.7
4 0 -2, 42.7, 28.6
0 1 3, 43.7, 55.1
1 1 -5, 57.7, 9.5
4 1 1, 62.7, 14.5
4 1 -5, 62.9, 21.8

***

# 3
Theoretical powder diffraction line list of Li6Mn5CoO12 for Cu Kα, 1.54184 Å, from a GGA+U-relaxed structure.

Crystal structure
Cell: 5.123 5.134 10.334 Å, 89.97 83.90 64.56°
Space group P-1 (No. 2)
Asymmetric unit:
Li1 0.029 0.330 0.280 (multiplicity 2)
Li2 0.310 0.992 0.716 (multiplicity 2)
Li3 0.347 0.684 0.285 (multiplicity 2)
Mn1 0.169 0.669 0.000 (multiplicity 2)
Mn2 0.331 0.333 0.500 (multiplicity 2)
Mn3 0.500 0.000 0.000 (multiplicity 1)
Co1 0.000 0.000 0.500 (multiplicity 1)
O1 0.017 0.308 0.617 (multiplicity 2)
O2 0.150 0.335 0.094 (multiplicity 2)
O3 0.225 0.960 0.897 (multiplicity 2)
O4 0.323 0.034 0.386 (multiplicity 2)
O5 0.355 0.628 0.615 (multiplicity 2)
O6 0.445 0.711 0.104 (multiplicity 2)

Main lines, in order of rising 2θ (2θ from 15° to 90°):
hkl, 2theta, intensity
0 0 2, 17.3, 100.0
1 -1 1, 33.2, 13.1
-1 1 1, 34.9, 18.9
2 1 2, 37.9, 10.1
1 -1 3, 40.2, 11.8
2 1 -2, 41.2, 9.8
1 2 3, 44.0, 10.7
1 2 -3, 44.4, 10.0